This entry pairs a crystal structure of NaBiS2 with its computed PXRD pattern. Radiation: CuKα. Structure: a DFT-relaxed cell (GGA-PBE, the Materials Project).

Cell and atoms:
a b c (Å): 7.151 7.151 7.151
angles (deg): 133.11 133.11 68.48
Sites, in units of the cell vectors:
Na 0.375 0.625 0.750
Na 0.625 0.375 0.250
Bi 0.125 0.875 0.250
Bi 0.875 0.125 0.750
S 0.114 0.364 0.750
S 0.364 0.114 0.250
S 0.636 0.886 0.750
S 0.886 0.636 0.250

Largest 12 diffraction maxima, in order of falling intensity, 5° ≤ 2θ ≤ 70°:
2θ = 17.30°, rel. 100
2θ = 31.44°, rel. 62
2θ = 26.80°, rel. 55
2θ = 44.19°, rel. 47
2θ = 30.24°, rel. 34
2θ = 36.11°, rel. 34
2θ = 27.53°, rel. 27
2θ = 55.23°, rel. 24
2θ = 45.07°, rel. 23
2θ = 53.21°, rel. 19
2θ = 42.28°, rel. 18
2θ = 41.35°, rel. 14


This entry pairs a crystal structure of SnPbO3 with its computed PXRD pattern. Radiation: CuKα. Structure: a DFT-relaxed cell (GGA-PBE, the Materials Project).

Cell and atoms:
a b c (Å): 7.606 7.606 7.606
angles (deg): 60.00 60.00 60.00
Sites, in units of the cell vectors:
Sn 0.000 0.000 0.000
Sn 0.000 0.000 0.500
Sn 0.000 0.500 0.000
Sn 0.500 0.000 0.000
Pb 0.000 0.500 0.500
Pb 0.500 0.000 0.500
Pb 0.500 0.500 0.000
Pb 0.500 0.500 0.500
O 0.081 0.081 0.669
O 0.081 0.669 0.081
O 0.081 0.669 0.669
O 0.331 0.331 0.919
O 0.331 0.919 0.331
O 0.331 0.919 0.919
O 0.669 0.081 0.081
O 0.669 0.081 0.669
O 0.669 0.669 0.081
O 0.919 0.331 0.331
O 0.919 0.331 0.919
O 0.919 0.919 0.331

Largest 12 diffraction maxima, in order of falling intensity, 5° ≤ 2θ ≤ 70°:
2θ = 28.75°, rel. 100
2θ = 56.77°, rel. 47
2θ = 47.83°, rel. 45
2θ = 33.32°, rel. 39
2θ = 59.54°, rel. 12
2θ = 69.97°, rel. 7
2θ = 27.50°, rel. 5
2θ = 36.41°, rel. 5
2θ = 14.26°, rel. 4
2θ = 43.73°, rel. 3
2θ = 50.17°, rel. 2
2θ = 66.80°, rel. 1


This entry pairs a crystal structure of Zn4In2O7 with its computed PXRD pattern. Radiation: CuKα. Structure: a DFT-relaxed cell (GGA-PBE, the Materials Project).

Cell and atoms:
a b c (Å): 3.437 3.437 33.597
angles (deg): 90.00 90.00 120.00
Sites, in units of the cell vectors:
Zn 0.000 0.000 0.167
Zn 0.000 0.000 0.333
Zn 0.000 0.000 0.667
Zn 0.000 0.000 0.833
Zn 0.333 0.667 0.091
Zn 0.333 0.667 0.409
Zn 0.667 0.333 0.591
Zn 0.667 0.333 0.909
In 0.000 0.000 0.000
In 0.000 0.000 0.500
In 0.333 0.667 0.250
In 0.667 0.333 0.750
O 0.000 0.000 0.107
O 0.000 0.000 0.250
O 0.000 0.000 0.393
O 0.000 0.000 0.607
O 0.000 0.000 0.750
O 0.000 0.000 0.893
O 0.333 0.667 0.031
O 0.333 0.667 0.184
O 0.333 0.667 0.316
O 0.333 0.667 0.469
O 0.667 0.333 0.531
O 0.667 0.333 0.684
O 0.667 0.333 0.816
O 0.667 0.333 0.969

Largest 12 diffraction maxima, in order of falling intensity, 5° ≤ 2θ ≤ 70°:
2θ = 34.12°, rel. 100
2θ = 30.14°, rel. 52
2θ = 53.32°, rel. 48
2θ = 31.97°, rel. 45
2θ = 63.53°, rel. 35
2θ = 58.36°, rel. 29
2θ = 46.54°, rel. 22
2θ = 32.91°, rel. 22
2θ = 64.83°, rel. 16
2θ = 35.49°, rel. 15
2θ = 10.53°, rel. 15
2θ = 30.02°, rel. 14


This entry pairs a crystal structure of Sc2IrRu with its computed PXRD pattern. Radiation: CuKα. Structure: a DFT-relaxed cell (GGA-PBE, the Materials Project).

Cell and atoms:
a b c (Å): 4.555 4.555 4.555
angles (deg): 60.00 60.00 60.00
Sites, in units of the cell vectors:
Sc 0.250 0.250 0.250
Sc 0.750 0.750 0.750
Ir 0.000 0.000 0.000
Ru 0.500 0.500 0.500

Largest 8 diffraction maxima, in order of falling intensity, 5° ≤ 2θ ≤ 70°:
2θ = 39.57°, rel. 100
2θ = 27.69°, rel. 36
2θ = 57.20°, rel. 17
2θ = 64.71°, rel. 14
2θ = 23.92°, rel. 12
2θ = 48.98°, rel. 11
2θ = 46.77°, rel. 7
2θ = 62.88°, rel. 3


This entry pairs a crystal structure of ZrScCo2 with its computed PXRD pattern. Radiation: CuKα. Structure: a DFT-relaxed cell (GGA-PBE, the Materials Project).

Cell and atoms:
a b c (Å): 4.484 4.484 4.484
angles (deg): 60.00 60.00 60.00
Sites, in units of the cell vectors:
Zr 0.000 0.000 0.000
Sc 0.500 0.500 0.500
Co 0.250 0.250 0.250
Co 0.750 0.750 0.750

Largest 5 diffraction maxima, in order of falling intensity, 5° ≤ 2θ ≤ 70°:
2θ = 40.22°, rel. 100
2θ = 58.19°, rel. 16
2θ = 24.31°, rel. 9
2θ = 47.55°, rel. 4
2θ = 63.99°, rel. 2


This entry pairs a crystal structure of MgSi2 with its computed PXRD pattern. Radiation: CuKα. Structure: a DFT-relaxed cell (GGA-PBE, the Materials Project).

Cell and atoms:
a b c (Å): 3.652 5.450 11.647
angles (deg): 84.08 83.64 70.67
Sites, in units of the cell vectors:
Mg 0.000 0.000 0.000
Mg 0.023 0.703 0.336
Mg 0.221 0.163 0.482
Mg 0.789 0.561 0.843
Si 0.121 0.041 0.767
Si 0.278 0.439 0.029
Si 0.380 0.061 0.193
Si 0.509 0.618 0.523
Si 0.523 0.291 0.678
Si 0.651 0.620 0.132
Si 0.745 0.251 0.295
Si 0.863 0.828 0.628

Largest 12 diffraction maxima, in order of falling intensity, 5° ≤ 2θ ≤ 70°:
2θ = 32.79°, rel. 100
2θ = 37.41°, rel. 91
2θ = 36.43°, rel. 85
2θ = 50.01°, rel. 70
2θ = 39.59°, rel. 56
2θ = 51.36°, rel. 52
2θ = 38.17°, rel. 51
2θ = 39.09°, rel. 50
2θ = 31.37°, rel. 49
2θ = 35.86°, rel. 49
2θ = 15.35°, rel. 44
2θ = 36.79°, rel. 44


This entry pairs a crystal structure of ZnFe3C with its computed PXRD pattern. Radiation: CuKα. Structure: a DFT-relaxed cell (GGA-PBE, the Materials Project).

Cell and atoms:
a b c (Å): 3.773 3.773 3.773
angles (deg): 90.00 90.00 90.00
Sites, in units of the cell vectors:
Zn 0.000 0.000 0.000
Fe 0.000 0.500 0.500
Fe 0.500 0.000 0.500
Fe 0.500 0.500 0.000
C 0.500 0.500 0.500

Largest 4 diffraction maxima, in order of falling intensity, 5° ≤ 2θ ≤ 70°:
2θ = 41.45°, rel. 100
2θ = 48.24°, rel. 55
2θ = 33.59°, rel. 3
2θ = 60.07°, rel. 1


This entry pairs a crystal structure of GdMnSi with its computed PXRD pattern. Radiation: CuKα. Structure: a DFT-relaxed cell (GGA-PBE, the Materials Project).

Cell and atoms:
a b c (Å): 3.946 3.946 7.210
angles (deg): 90.00 90.00 90.00
Sites, in units of the cell vectors:
Gd 0.250 0.250 0.166
Gd 0.750 0.750 0.834
Mn 0.250 0.750 0.500
Mn 0.750 0.250 0.500
Si 0.250 0.250 0.699
Si 0.750 0.750 0.301

Largest 12 diffraction maxima, in order of falling intensity, 5° ≤ 2θ ≤ 70°:
2θ = 33.67°, rel. 100
2θ = 25.73°, rel. 96
2θ = 34.46°, rel. 64
2θ = 40.90°, rel. 61
2θ = 46.00°, rel. 51
2θ = 58.20°, rel. 41
2θ = 32.07°, rel. 40
2θ = 37.42°, rel. 29
2θ = 60.73°, rel. 27
2θ = 53.45°, rel. 27
2θ = 56.09°, rel. 26
2θ = 67.08°, rel. 16


This entry pairs a crystal structure of PbSO4 with its computed PXRD pattern. Radiation: CuKα. Structure: a DFT-relaxed cell (GGA-PBE, the Materials Project).

Cell and atoms:
a b c (Å): 8.561 5.522 7.099
angles (deg): 90.00 90.00 90.00
Sites, in units of the cell vectors:
Pb 0.196 0.250 0.172
Pb 0.304 0.750 0.672
Pb 0.696 0.250 0.328
Pb 0.804 0.750 0.828
S 0.063 0.250 0.680
S 0.437 0.750 0.180
S 0.563 0.250 0.820
S 0.937 0.750 0.320
O 0.081 0.029 0.803
O 0.081 0.471 0.803
O 0.093 0.750 0.406
O 0.192 0.250 0.538
O 0.308 0.750 0.038
O 0.407 0.250 0.906
O 0.419 0.529 0.303
O 0.419 0.971 0.303
O 0.581 0.029 0.697
O 0.581 0.471 0.697
O 0.593 0.750 0.094
O 0.692 0.250 0.962
O 0.808 0.750 0.462
O 0.907 0.250 0.594
O 0.919 0.529 0.197
O 0.919 0.971 0.197

Largest 12 diffraction maxima, in order of falling intensity, 5° ≤ 2θ ≤ 70°:
2θ = 29.24°, rel. 100
2θ = 42.86°, rel. 91
2θ = 20.38°, rel. 68
2θ = 26.34°, rel. 55
2θ = 27.20°, rel. 54
2θ = 32.43°, rel. 40
2θ = 22.90°, rel. 39
2θ = 55.89°, rel. 33
2θ = 20.75°, rel. 30
2θ = 44.20°, rel. 29
2θ = 25.09°, rel. 27
2θ = 43.89°, rel. 25


This entry pairs a crystal structure of NpN2 with its computed PXRD pattern. Radiation: CuKα. Structure: a DFT-relaxed cell (GGA-PBE, the Materials Project).

Cell and atoms:
a b c (Å): 3.694 3.694 3.694
angles (deg): 60.00 60.00 60.00
Sites, in units of the cell vectors:
Np 0.000 0.000 0.000
N 0.250 0.250 0.250
N 0.750 0.750 0.750

Largest 5 diffraction maxima, in order of falling intensity, 5° ≤ 2θ ≤ 70°:
2θ = 29.62°, rel. 100
2θ = 58.61°, rel. 46
2θ = 49.34°, rel. 46
2θ = 34.33°, rel. 40
2θ = 61.49°, rel. 11


This entry pairs a crystal structure of Li3Mg8Si4 with its computed PXRD pattern. Radiation: CuKα. Structure: a DFT-relaxed cell (GGA-PBE, the Materials Project).

Cell and atoms:
a b c (Å): 6.576 6.576 6.576
angles (deg): 90.00 90.00 90.00
Sites, in units of the cell vectors:
Li 0.000 0.000 0.500
Li 0.000 0.500 0.000
Li 0.500 0.000 0.000
Mg 0.254 0.254 0.254
Mg 0.254 0.254 0.746
Mg 0.254 0.746 0.254
Mg 0.254 0.746 0.746
Mg 0.746 0.254 0.254
Mg 0.746 0.254 0.746
Mg 0.746 0.746 0.254
Mg 0.746 0.746 0.746
Si 0.000 0.000 0.000
Si 0.000 0.500 0.500
Si 0.500 0.000 0.500
Si 0.500 0.500 0.000

Largest 8 diffraction maxima, in order of falling intensity, 5° ≤ 2θ ≤ 70°:
2θ = 38.73°, rel. 100
2θ = 23.43°, rel. 24
2θ = 55.93°, rel. 16
2θ = 45.76°, rel. 10
2θ = 27.12°, rel. 6
2θ = 61.46°, rel. 4
2θ = 63.24°, rel. 2
2θ = 47.92°, rel. 2


This entry pairs a crystal structure of Ba2MgTi2S6 with its computed PXRD pattern. Radiation: CuKα. Structure: a DFT-relaxed cell (GGA-PBE, the Materials Project).

Cell and atoms:
a b c (Å): 7.011 7.011 6.335
angles (deg): 90.00 90.00 120.00
Sites, in units of the cell vectors:
Ba 0.000 0.000 0.000
Ba 0.333 0.667 0.466
Mg 0.333 0.667 0.971
Ti 0.667 0.333 0.382
Ti 0.667 0.333 0.816
S 0.342 0.171 0.599
S 0.513 0.025 0.100
S 0.513 0.487 0.100
S 0.829 0.171 0.599
S 0.829 0.658 0.599
S 0.975 0.487 0.100

Largest 12 diffraction maxima, in order of falling intensity, 5° ≤ 2θ ≤ 70°:
2θ = 32.71°, rel. 100
2θ = 25.41°, rel. 78
2θ = 20.26°, rel. 77
2θ = 38.30°, rel. 49
2θ = 52.19°, rel. 33
2θ = 41.19°, rel. 26
2θ = 31.87°, rel. 23
2θ = 41.87°, rel. 22
2θ = 60.38°, rel. 21
2θ = 28.17°, rel. 20
2θ = 53.75°, rel. 18
2θ = 45.48°, rel. 17